(1)
Structure and simulated XRD peak list of ErGa4 (the PBE geometry in Alexandria; λ = 1.5418 Å (Cu Kα)).
Peak positions follow from Bragg's law for the DFT cell and can differ from measured ones.

Atomic structure:
Unit cell a=4.2752 b=6.3169 c=14.0405 alpha=90.00 beta=90.00 gamma=90.00
Space group Imma (No. 74)
Symmetry-distinct sites (fractional):
1 Er 0.0000 0.2500 0.1135 x4
2 Ga 0.0000 0.0000 0.5000 x4
3 Ga 0.0000 0.0331 0.6961 x8
4 Ga 0.0000 0.2500 0.8972 x4

Principal peaks in the range 2θ = 5–70°, in order of rising 2θ:
index  2θ (°)  I_rel
1 1 2  28.24  22
1 2 1  35.93  72
1 0 5  38.35  100
1 2 3  40.40  14
2 0 0  42.28  27
0 2 6  48.41  11
0 4 0  58.40  28
2 2 6  66.19  10

=====

(2)
Structure and simulated XRD peak list of Er8Ga2Ge (the PBE geometry in Alexandria; λ = 1.5418 Å (Cu Kα)).
Peak positions follow from Bragg's law for the DFT cell and can differ from measured ones.

Atomic structure:
Unit cell a=18.5583 b=4.8753 c=6.5810 alpha=90.00 beta=102.51 gamma=90.00
Space group C2/m (No. 12)
Symmetry-distinct sites (fractional):
1 Er 0.0278 0.0000 0.2719 x4
2 Er 0.0909 0.5000 0.9566 x4
3 Er 0.1566 0.5000 0.4803 x4
4 Er 0.2128 0.0000 0.8190 x4
5 Ga 0.1871 0.0000 0.2572 x4
6 Ge 0.0000 0.5000 0.5000 x2

Principal peaks in the range 2θ = 5–70°, in order of rising 2θ:
index  2θ (°)  I_rel
3 1 1  28.92  73
5 1 0  30.74  78
5 1 -1  31.49  60
1 1 -2  32.86  100
3 1 -2  34.03  33
1 1 2  34.68  53
0 2 0  36.87  84
7 1 -1  39.22  42

=====

(3)
Structure and simulated XRD peak list of Er4Ga12Ge (the PBE geometry in Alexandria; λ = 1.5418 Å (Cu Kα)).
Peak positions follow from Bragg's law for the DFT cell and can differ from measured ones.

Atomic structure:
Unit cell a=8.7276 b=8.7276 c=8.7276 alpha=90.00 beta=90.00 gamma=90.00
Space group Im-3m (No. 229)
Symmetry-distinct sites (fractional):
1 Er 0.2500 0.2500 0.2500 x8
2 Ga 0.0000 0.0000 0.3064 x12
3 Ga 0.0000 0.2500 0.5000 x12
4 Ge 0.0000 0.0000 0.0000 x2

Principal peaks in the range 2θ = 5–70°, in order of rising 2θ:
index  2θ (°)  I_rel
2 0 0  20.35  11
2 2 0  28.94  37
2 2 2  35.64  100
3 2 1  38.60  9
4 0 0  41.38  60
4 2 0  46.54  11
4 4 0  59.96  33
6 2 0  67.93  12

=====

(4)
Structure and simulated XRD peak list of Er12Ga9Ge11 (the PBE geometry in Alexandria; λ = 1.5418 Å (Cu Kα)).
Peak positions follow from Bragg's law for the DFT cell and can differ from measured ones.

Atomic structure:
Unit cell a=18.8173 b=9.3565 c=7.4484 alpha=90.00 beta=90.00 gamma=90.00
Space group Amm2 (No. 38)
Symmetry-distinct sites (fractional):
1 Er 0.0000 0.0000 0.0000 x2
2 Er 0.1252 0.1985 0.3442 x8
3 Er 0.2507 0.0000 0.6878 x4
4 Er 0.3751 0.1997 0.3406 x8
5 Er 0.5000 0.0000 0.9927 x2
6 Ga 0.1005 0.0000 0.6668 x4
7 Ga 0.1502 0.0000 0.0218 x4
8 Ga 0.3506 0.0000 0.0201 x4
9 Ga 0.4020 0.0000 0.6556 x4
10 Ga 0.5000 0.0000 0.3796 x2
11 Ge 0.0000 0.0000 0.3870 x2
12 Ge 0.0000 0.2024 0.6385 x4
13 Ge 0.2503 0.0000 0.3010 x4
14 Ge 0.2504 0.2030 0.0497 x8
15 Ge 0.5000 0.2046 0.6327 x4

Principal peaks in the range 2θ = 5–70°, in order of rising 2θ:
index  2θ (°)  I_rel
4 2 0  26.88  36
4 0 2  30.64  77
0 3 1  31.09  38
4 2 2  36.27  100
4 3 1  36.61  52
0 1 3  37.48  63
8 0 0  38.26  61
6 2 2  42.34  38

=====

(5)
Structure and simulated XRD peak list of Na2ErGaGe2 (the PBE geometry in Alexandria; λ = 1.5418 Å (Cu Kα)).
Peak positions follow from Bragg's law for the DFT cell and can differ from measured ones.

Atomic structure:
Unit cell a=4.2509 b=8.8025 c=7.1944 alpha=90.00 beta=90.00 gamma=90.00
Space group Pmc2_1 (No. 26)
Symmetry-distinct sites (fractional):
1 Na 0.0000 0.0822 0.0000 x2
2 Na 0.5000 0.1609 0.3150 x2
3 Er 0.5000 0.4469 0.9573 x2
4 Ga 0.0000 0.3244 0.6204 x2
5 Ge 0.0000 0.3880 0.2423 x2
6 Ge 0.5000 0.1781 0.7210 x2

Principal peaks in the range 2θ = 5–70°, in order of rising 2θ:
index  2θ (°)  I_rel
0 1 0  10.05  100
1 2 1  31.80  28
0 2 2  32.14  17
1 1 2  34.21  56
1 3 0  37.24  26
1 2 2  38.65  15
2 0 0  42.53  19
0 2 3  42.96  16

=====

(6)
Structure and simulated XRD peak list of NdErGaGe (the PBE geometry in Alexandria; λ = 1.5418 Å (Cu Kα)).
Peak positions follow from Bragg's law for the DFT cell and can differ from measured ones.

Atomic structure:
Unit cell a=4.0451 b=4.3803 c=10.9823 alpha=90.00 beta=90.00 gamma=90.00
Space group Amm2 (No. 38)
Symmetry-distinct sites (fractional):
1 Nd 0.0000 0.0000 0.0000 x2
2 Er 0.5000 0.0000 0.2793 x2
3 Ga 0.5000 0.0000 0.5660 x2
4 Ge 0.0000 0.0000 0.7208 x2

Principal peaks in the range 2θ = 5–70°, in order of rising 2θ:
index  2θ (°)  I_rel
1 0 2  27.38  24
1 1 1  31.18  100
0 1 3  31.86  41
0 0 4  32.61  28
1 1 3  39.04  52
1 0 4  39.68  17
0 2 0  41.22  26
2 0 0  44.81  20

=====

(7)
Structure and simulated XRD peak list of TbErGaGe (the PBE geometry in Alexandria; λ = 1.5418 Å (Cu Kα)).
Peak positions follow from Bragg's law for the DFT cell and can differ from measured ones.

Atomic structure:
Unit cell a=3.9964 b=4.3119 c=10.7649 alpha=90.00 beta=90.00 gamma=90.00
Space group Amm2 (No. 38)
Symmetry-distinct sites (fractional):
1 Tb 0.0000 0.0000 0.0000 x2
2 Er 0.5000 0.0000 0.2793 x2
3 Ga 0.5000 0.0000 0.5605 x2
4 Ge 0.0000 0.0000 0.7198 x2

Principal peaks in the range 2θ = 5–70°, in order of rising 2θ:
index  2θ (°)  I_rel
1 0 2  27.80  25
1 1 1  31.64  100
0 1 3  32.46  39
0 0 4  33.29  28
1 1 3  39.71  49
1 0 4  40.41  16
0 2 0  41.90  25
2 0 0  45.39  20

=====

(8)
Structure and simulated XRD peak list of Er4Ga2H (the PBE geometry in Alexandria; λ = 1.5418 Å (Cu Kα)).
Peak positions follow from Bragg's law for the DFT cell and can differ from measured ones.

Atomic structure:
Unit cell a=6.0102 b=6.5372 c=8.5588 alpha=90.00 beta=110.08 gamma=90.00
Space group P2_1/m (No. 11)
Symmetry-distinct sites (fractional):
1 Er 0.1764 0.2500 0.0802 x2
2 Er 0.2584 0.5010 0.7352 x4
3 Er 0.2995 0.7500 0.3741 x2
4 Ga 0.1910 0.2500 0.4268 x2
5 Ga 0.3497 0.7500 0.0422 x2
6 H 0.0675 0.2500 0.8044 x2

Principal peaks in the range 2θ = 5–70°, in order of rising 2θ:
index  2θ (°)  I_rel
1 1 1  26.03  20
2 0 0  31.68  100
2 1 0  34.60  24
1 2 1  35.40  55
1 0 3  42.00  18
2 2 2  53.54  19
3 2 -1  53.93  16
2 4 0  66.05  13